1.
CeCo9Si4: calculated XRD peak list (Cu Kα), based on a crystal structure in Alexandria, relaxed with PBE.
Peak positions follow from Bragg's law for the DFT cell and can differ from measured ones.

Atomic structure:
Lattice parameters (Å, degrees): 7.9064 7.9064 7.9064 121.55 121.55 87.34
Atoms (fractional coordinates):
Ce (0.2500, 0.2500, 0.0000)
Ce (0.7500, 0.7500, 0.0000)
Co (0.0000, 0.5000, 0.5000)
Co (0.0502, 0.5502, 0.2375)
Co (0.0698, 0.8001, 0.8699)
Co (0.1873, 0.9498, 0.5000)
Co (0.1999, 0.0698, 0.2698)
Co (0.3001, 0.5698, 0.8699)
Co (0.3127, 0.8127, 0.7625)
Co (0.4302, 0.3001, 0.7302)
Co (0.4498, 0.6873, 0.5000)
Co (0.5000, 0.0000, 0.5000)
Co (0.5502, 0.3127, 0.5000)
Co (0.5698, 0.6999, 0.2698)
Co (0.6873, 0.1873, 0.2375)
Co (0.6999, 0.4302, 0.1301)
Co (0.8001, 0.9302, 0.7302)
Co (0.8127, 0.0502, 0.5000)
Co (0.9302, 0.1999, 0.1301)
Co (0.9498, 0.4498, 0.7625)
Si (0.0484, 0.2108, 0.5000)
Si (0.2108, 0.7108, 0.1624)
Si (0.2892, 0.4516, 0.5000)
Si (0.4516, 0.9516, 0.1624)
Si (0.5484, 0.0484, 0.8376)
Si (0.7108, 0.5484, 0.5000)
Si (0.7892, 0.2892, 0.8376)
Si (0.9516, 0.7892, 0.5000)

Main lines, in order of rising 2θ (10° ≤ 2θ ≤ 80°):
d (Å)	I/Imax
2.533	19
2.463	21
2.298	24
2.245	100
1.907	41
1.867	31

***

2.
Sm6ZnFe2: calculated XRD peak list (Cu Kα), based on a crystal structure in Alexandria, relaxed with PBE.
Peak positions follow from Bragg's law for the DFT cell and can differ from measured ones.

Atomic structure:
Lattice parameters (Å, degrees): 8.4973 8.4973 8.4973 111.21 110.17 107.06
Atoms (fractional coordinates):
Sm (0.0220, 0.2271, 0.7948)
Sm (0.1841, 0.2850, 0.4691)
Sm (0.1841, 0.7150, 0.8991)
Sm (0.3152, 0.0193, 0.7041)
Sm (0.3152, 0.6111, 0.2959)
Sm (0.4323, 0.2271, 0.2052)
Sm (0.5677, 0.7729, 0.7948)
Sm (0.6848, 0.3889, 0.7041)
Sm (0.6848, 0.9807, 0.2959)
Sm (0.8159, 0.2850, 0.1009)
Sm (0.8159, 0.7150, 0.5309)
Sm (0.9780, 0.7729, 0.2052)
Zn (0.0000, 0.0000, 0.0000)
Zn (0.5000, 0.5000, 0.0000)
Fe (0.1079, 0.6079, 0.5000)
Fe (0.3838, 0.0000, 0.3838)
Fe (0.6162, 0.0000, 0.6162)
Fe (0.8921, 0.3921, 0.5000)

Main lines, in order of rising 2θ (10° ≤ 2θ ≤ 80°):
d (Å)	I/Imax
2.830	100
2.652	36
2.625	32
2.597	27
2.400	21
1.570	21

***

3.
BaNa3In8: calculated XRD peak list (Cu Kα), based on a crystal structure in Alexandria, relaxed with PBE.
Peak positions follow from Bragg's law for the DFT cell and can differ from measured ones.

Atomic structure:
Lattice parameters (Å, degrees): 6.3224 6.3224 10.1589 90.00 90.00 120.00
Atoms (fractional coordinates):
Ba (0.0000, 0.0000, 0.0000)
Na (0.0000, 0.0000, 0.3803)
Na (0.6667, 0.3333, 0.4986)
Na (0.6667, 0.3333, 0.8525)
In (0.1621, 0.3241, 0.6789)
In (0.1621, 0.8379, 0.6789)
In (0.3333, 0.6667, 0.4412)
In (0.3333, 0.6667, 0.9296)
In (0.5043, 0.0086, 0.1917)
In (0.5043, 0.4957, 0.1917)
In (0.6759, 0.8379, 0.6789)
In (0.9914, 0.4957, 0.1917)

Main lines, in order of rising 2θ (10° ≤ 2θ ≤ 80°):
d (Å)	I/Imax
5.475	39
4.820	31
2.880	41
2.684	83
2.643	100
2.410	44

***

4.
BaTaBiO6: calculated XRD peak list (Cu Kα), based on a crystal structure in Alexandria, relaxed with PBE.
Peak positions follow from Bragg's law for the DFT cell and can differ from measured ones.

Atomic structure:
Lattice parameters (Å, degrees): 5.5905 5.5905 11.5078 90.00 90.00 120.00
Atoms (fractional coordinates):
Ba (0.0000, 0.0000, 0.0000)
Ba (0.0000, 0.0000, 0.5000)
Ta (0.3333, 0.6667, 0.2500)
Ta (0.6667, 0.3333, 0.7500)
Bi (0.3333, 0.6667, 0.7500)
Bi (0.6667, 0.3333, 0.2500)
O (0.0175, 0.3985, 0.1490)
O (0.0175, 0.6189, 0.3510)
O (0.3811, 0.3985, 0.3510)
O (0.3811, 0.9825, 0.1490)
O (0.3985, 0.0175, 0.6490)
O (0.3985, 0.3811, 0.8510)
O (0.6015, 0.6189, 0.1490)
O (0.6015, 0.9825, 0.3510)
O (0.6189, 0.0175, 0.8510)
O (0.6189, 0.6015, 0.6490)
O (0.9825, 0.3811, 0.6490)
O (0.9825, 0.6015, 0.8510)

Main lines, in order of rising 2θ (10° ≤ 2θ ≤ 80°):
d (Å)	I/Imax
5.754	34
3.705	100
2.795	49
2.231	23
2.005	53
1.744	24